[1]
Structure and simulated powder X-ray diffraction pattern of Nd6Hg2Rh (a structure optimized by DFT (PBE); λ = 1.5418 Å (Cu Kα)).
Lines closer than 0.1° are merged.

Peak list (10 most intense, 2θ = 10–90°, in order of rising 2θ)
Position (°2θ), I (rel.), h k l
30.72, 100, 1 3 1
30.77, 24, 1 0 2
32.94, 64, 1 4 0
34.91, 39, 0 6 0
38.81, 34, 1 4 2
47.40, 15, 2 0 0
57.36, 29, 1 7 3
57.53, 18, 2 1 3
60.03, 19, 1 3 5
60.20, 16, 2 6 0

Crystal structure
```
data_Nd6Hg2Rh
_chemical_formula_sum 'Nd12 Hg4 Rh2'
_symmetry_space_group_name_H-M 'A m m 2'
_symmetry_Int_Tables_number 38
_cell_length_a 3.836
_cell_length_b 15.427
_cell_length_c 8.901
_cell_angle_alpha 90.00
_cell_angle_beta 90.00
_cell_angle_gamma 90.00
loop_
_symmetry_equiv_pos_as_xyz
'x,y,z'
'-x,-y,z'
'-x,y,z'
'x,-y,z'
'x,y+1/2,z+1/2'
'-x,-y+1/2,z+1/2'
'-x,y+1/2,z+1/2'
'x,-y+1/2,z+1/2'
loop_
_atom_site_label
_atom_site_fract_x
_atom_site_fract_y
_atom_site_fract_z
Nd1 0.000 0.000 0.000
Nd2 0.000 0.122 0.636
Nd3 0.500 0.000 0.354
Nd4 0.500 0.202 0.960
Hg1 0.000 0.167 0.258
Rh1 0.500 0.000 0.757
```

[2]
Structure and simulated powder X-ray diffraction pattern of Nd3Hg3Rh2 (a structure optimized by DFT (PBE); λ = 1.5418 Å (Cu Kα)).
Lines closer than 0.1° are merged.

Peak list (10 most intense, 2θ = 10–90°, in order of rising 2θ)
Position (°2θ), I (rel.), h k l
27.86, 35, 1 4 1
30.84, 63, 2 4 0
31.66, 30, 1 5 1
33.66, 37, 1 0 2
34.73, 100, 2 4 1
36.92, 43, 1 3 2
39.04, 44, 3 0 1
39.30, 63, 1 4 2
39.99, 25, 0 8 0
40.23, 30, 1 7 1

Crystal structure
```
data_Nd3Hg3Rh2
_chemical_formula_sum 'Nd12 Hg12 Rh8'
_symmetry_space_group_name_H-M 'P n m a'
_symmetry_Int_Tables_number 62
_cell_length_a 7.572
_cell_length_b 18.035
_cell_length_c 5.689
_cell_angle_alpha 90.00
_cell_angle_beta 90.00
_cell_angle_gamma 90.00
loop_
_symmetry_equiv_pos_as_xyz
'x,y,z'
'-x,-y,-z'
'-x+1/2,-y,z+1/2'
'x+1/2,y,-z+1/2'
'x+1/2,-y+1/2,-z+1/2'
'-x+1/2,y+1/2,z+1/2'
'-x,y+1/2,-z'
'x,-y+1/2,z'
loop_
_atom_site_label
_atom_site_fract_x
_atom_site_fract_y
_atom_site_fract_z
Nd1 0.042 0.107 0.116
Nd2 0.159 0.250 0.670
Hg1 0.170 0.750 0.679
Hg2 0.181 0.030 0.602
Rh1 0.115 0.627 0.378
```

[3]
Structure and simulated powder X-ray diffraction pattern of Nd6HgRh (a structure optimized by DFT (PBE); λ = 1.5418 Å (Cu Kα)).
Lines closer than 0.1° are merged.

Peak list (10 most intense, 2θ = 10–90°, in order of rising 2θ)
Position (°2θ), I (rel.), h k l
17.04, 20, 0 1 -1
23.10, 24, 1 -1 1
27.06, 20, 0 0 2
28.64, 38, 1 -2 1
28.74, 100, 2 -1 0
28.95, 19, -2 1 2
37.23, 26, 1 1 1
37.35, 26, 1 -2 2
44.37, 17, 0 3 -1
44.65, 34, -3 3 1

Crystal structure
```
data_Nd6HgRh
_chemical_formula_sum 'Nd6 Hg1 Rh1'
_symmetry_space_group_name_H-M 'P -1'
_symmetry_Int_Tables_number 2
_cell_length_a 7.016
_cell_length_b 7.054
_cell_length_c 7.708
_cell_angle_alpha 90.35
_cell_angle_beta 116.59
_cell_angle_gamma 119.73
loop_
_symmetry_equiv_pos_as_xyz
'x,y,z'
'-x,-y,-z'
loop_
_atom_site_label
_atom_site_fract_x
_atom_site_fract_y
_atom_site_fract_z
Nd1 0.034 0.081 0.253
Nd2 0.297 0.718 0.252
Nd3 0.323 0.544 0.748
Hg1 0.500 0.000 0.000
Rh1 0.500 0.500 0.500
```

[4]
Structure and simulated powder X-ray diffraction pattern of NdHg5Rh (a structure optimized by DFT (PBE); λ = 1.5418 Å (Cu Kα)).
Lines closer than 0.1° are merged.

Peak list (10 most intense, 2θ = 10–90°, in order of rising 2θ)
Position (°2θ), I (rel.), h k l
26.17, 11, 1 1 0
28.89, 32, 1 1 1
35.93, 100, 1 1 2
36.63, 15, 0 0 3
37.34, 57, 2 0 0
53.30, 20, 2 0 3
53.84, 20, 2 2 0
66.43, 34, 3 1 2
66.88, 10, 2 2 3
69.57, 13, 1 1 5

Crystal structure
```
data_NdHg5Rh
_chemical_formula_sum 'Nd1 Hg5 Rh1'
_symmetry_space_group_name_H-M 'P 4/m m m'
_symmetry_Int_Tables_number 123
_symmetry_space_group_name_Hall '-P 4 2'
_cell_length_a 4.816
_cell_length_b 4.816
_cell_length_c 7.360
_cell_angle_alpha 90.00
_cell_angle_beta 90.00
_cell_angle_gamma 90.00
loop_
_atom_site_label
_atom_site_fract_x
_atom_site_fract_y
_atom_site_fract_z
Nd1 0.000 0.000 0.000
Hg1 0.000 0.500 0.298
Hg2 0.500 0.500 0.000
Rh1 0.000 0.000 0.500
```

[5]
Structure and simulated powder X-ray diffraction pattern of Nd2HgSb3Rh4 (a structure optimized by DFT (PBE); λ = 1.5418 Å (Cu Kα)).
Lines closer than 0.1° are merged.

Peak list (10 most intense, 2θ = 10–90°, in order of rising 2θ)
Position (°2θ), I (rel.), h k l
31.73, 44, 1 0 3
32.88, 100, 1 1 2
40.63, 59, 2 0 0
43.87, 27, 1 1 4
46.22, 24, 1 0 5
52.45, 21, 2 1 3
58.81, 20, 2 2 0
63.20, 19, 2 1 5
69.03, 25, 3 1 2
82.84, 14, 2 0 8

Crystal structure
```
data_Nd2HgSb3Rh4
_chemical_formula_sum 'Nd2 Hg1 Sb3 Rh4'
_symmetry_space_group_name_H-M 'P -4 m 2'
_symmetry_Int_Tables_number 115
_cell_length_a 4.441
_cell_length_b 4.441
_cell_length_c 10.951
_cell_angle_alpha 90.00
_cell_angle_beta 90.00
_cell_angle_gamma 90.00
loop_
_symmetry_equiv_pos_as_xyz
'x,y,z'
'y,-x,-z'
'-x,-y,z'
'-y,x,-z'
'-x,y,z'
'-y,-x,-z'
'x,-y,z'
'y,x,-z'
loop_
_atom_site_label
_atom_site_fract_x
_atom_site_fract_y
_atom_site_fract_z
Nd1 0.000 0.500 0.248
Hg1 0.500 0.500 0.000
Sb1 0.000 0.000 0.000
Sb2 0.000 0.500 0.631
Rh1 0.000 0.000 0.500
Rh2 0.000 0.500 0.861
Rh3 0.500 0.500 0.500
```

[6]
Structure and simulated powder X-ray diffraction pattern of Nd3HgRu (a structure optimized by DFT (PBE); λ = 1.5418 Å (Cu Kα)).
Lines closer than 0.1° are merged.

Peak list (10 most intense, 2θ = 10–90°, in order of rising 2θ)
Position (°2θ), I (rel.), h k l
28.21, 37, 0 2 4
29.87, 53, 1 3 1
32.09, 43, 1 1 5
33.87, 100, 2 2 2
34.89, 54, 2 0 4
35.00, 21, 0 4 0
37.89, 36, 0 2 6
41.80, 19, 0 4 4
51.82, 19, 3 3 3
54.85, 37, 4 0 0

Crystal structure
```
data_Nd3HgRu
_chemical_formula_sum 'Nd24 Hg8 Ru8'
_symmetry_space_group_name_H-M 'F m m m'
_symmetry_Int_Tables_number 69
_symmetry_space_group_name_Hall '-F 2 2'
_cell_length_a 6.694
_cell_length_b 10.254
_cell_length_c 16.075
_cell_angle_alpha 90.00
_cell_angle_beta 90.00
_cell_angle_gamma 90.00
loop_
_atom_site_label
_atom_site_fract_x
_atom_site_fract_y
_atom_site_fract_z
Nd1 0.000 0.000 0.197
Nd2 0.000 0.190 0.390
Hg1 0.213 0.000 0.000
Ru1 0.250 0.250 0.250
```

[7]
Structure and simulated powder X-ray diffraction pattern of Nd6Hg5Ru (a structure optimized by DFT (PBE); λ = 1.5418 Å (Cu Kα)).
Lines closer than 0.1° are merged.

Peak list (10 most intense, 2θ = 10–90°, in order of rising 2θ)
Position (°2θ), I (rel.), h k l
33.42, 100, 1 2 3
33.53, 26, 2 0 0
33.77, 22, 0 0 6
47.63, 9, 0 4 0
48.33, 16, 2 0 6
59.50, 10, 2 4 0
59.66, 8, 0 4 6
59.88, 19, 3 2 3
60.19, 14, 1 2 9
70.20, 10, 2 4 6

Crystal structure
```
data_Nd6Hg5Ru
_chemical_formula_sum 'Nd12 Hg10 Ru2'
_symmetry_space_group_name_H-M 'I m m m'
_symmetry_Int_Tables_number 71
_symmetry_space_group_name_Hall '-I 2 2'
_cell_length_a 5.345
_cell_length_b 7.637
_cell_length_c 15.924
_cell_angle_alpha 90.00
_cell_angle_beta 90.00
_cell_angle_gamma 90.00
loop_
_atom_site_label
_atom_site_fract_x
_atom_site_fract_y
_atom_site_fract_z
Nd1 0.000 0.228 0.000
Nd2 0.000 0.266 0.345
Hg1 0.000 0.000 0.184
Hg2 0.000 0.000 0.500
Hg3 0.000 0.500 0.167
Ru1 0.000 0.500 0.500
```

[8]
Structure and simulated powder X-ray diffraction pattern of Nd4HgRu (a structure optimized by DFT (PBE); λ = 1.5418 Å (Cu Kα)).
Lines closer than 0.1° are merged.

Peak list (10 most intense, 2θ = 10–90°, in order of rising 2θ)
Position (°2θ), I (rel.), h k l
29.13, 66, 1 1 -2
29.65, 35, 1 3 1
30.30, 38, 0 4 1
30.72, 86, 3 1 -1
33.53, 41, 2 4 -1
34.25, 100, 2 2 1
34.42, 49, 1 5 0
34.60, 49, 1 3 -2
35.95, 52, 1 5 -1
38.43, 31, 3 3 0

Crystal structure
```
data_Nd4HgRu
_chemical_formula_sum 'Nd16 Hg4 Ru4'
_symmetry_space_group_name_H-M 'C 1 2/c 1'
_symmetry_Int_Tables_number 15
_cell_length_a 8.956
_cell_length_b 13.746
_cell_length_c 6.301
_cell_angle_alpha 90.00
_cell_angle_beta 114.08
_cell_angle_gamma 90.00
loop_
_symmetry_equiv_pos_as_xyz
'x,y,z'
'-x,-y,-z'
'-x,y,-z+1/2'
'x,-y,z+1/2'
'x+1/2,y+1/2,z'
'-x+1/2,-y+1/2,-z'
'-x+1/2,y+1/2,-z+1/2'
'x+1/2,-y+1/2,z+1/2'
loop_
_atom_site_label
_atom_site_fract_x
_atom_site_fract_y
_atom_site_fract_z
Nd1 0.111 0.177 0.068
Nd2 0.221 0.429 0.348
Hg1 0.000 0.376 0.750
Ru1 0.000 0.000 0.250
```

Repeat the second record exactly.
Structure and simulated powder X-ray diffraction pattern of Nd3Hg3Rh2 (a structure optimized by DFT (PBE); λ = 1.5418 Å (Cu Kα)).
Lines closer than 0.1° are merged.

Peak list (10 most intense, 2θ = 10–90°, in order of rising 2θ)
Position (°2θ), I (rel.), h k l
27.86, 35, 1 4 1
30.84, 63, 2 4 0
31.66, 30, 1 5 1
33.66, 37, 1 0 2
34.73, 100, 2 4 1
36.92, 43, 1 3 2
39.04, 44, 3 0 1
39.30, 63, 1 4 2
39.99, 25, 0 8 0
40.23, 30, 1 7 1

Crystal structure
```
data_Nd3Hg3Rh2
_chemical_formula_sum 'Nd12 Hg12 Rh8'
_symmetry_space_group_name_H-M 'P n m a'
_symmetry_Int_Tables_number 62
_cell_length_a 7.572
_cell_length_b 18.035
_cell_length_c 5.689
_cell_angle_alpha 90.00
_cell_angle_beta 90.00
_cell_angle_gamma 90.00
loop_
_symmetry_equiv_pos_as_xyz
'x,y,z'
'-x,-y,-z'
'-x+1/2,-y,z+1/2'
'x+1/2,y,-z+1/2'
'x+1/2,-y+1/2,-z+1/2'
'-x+1/2,y+1/2,z+1/2'
'-x,y+1/2,-z'
'x,-y+1/2,z'
loop_
_atom_site_label
_atom_site_fract_x
_atom_site_fract_y
_atom_site_fract_z
Nd1 0.042 0.107 0.116
Nd2 0.159 0.250 0.670
Hg1 0.170 0.750 0.679
Hg2 0.181 0.030 0.602
Rh1 0.115 0.627 0.378
```